Computed powder diffraction line list of FeCo7 for copper Kα, from a structure optimized by DFT (GGA-PBE).

Largest 6 diffraction maxima, by angle, 2θ = 10–80°:
d_spacing	Position (°2θ)	Rel. int.
2.115	42.76	1
2.003	45.27	25
1.991	45.56	100
1.981	45.79	26
1.624	56.68	1
1.408	66.39	22

Structural model:
a = 8.372 Å, b = 8.372 Å, c = 8.372 Å
α = 160.65°, β = 152.62°, γ = 33.75°
Atoms (fractional coordinates):
Fe1 0.000 0.000 0.000
Co1 0.121 0.621 0.500
Co2 0.244 0.244 0.000
Co3 0.370 0.870 0.500
Co4 0.500 0.500 0.000
Co5 0.630 0.130 0.500
Co6 0.756 0.756 0.000
Co7 0.879 0.379 0.500